[1]
Er2ThCo9: computed X-ray diffraction stick pattern (Cu Kα), based on a DFT-relaxed cell (PBE, Alexandria).

Most intense lines, 5 to 70 degrees two-theta, by intensity:
| d_spacing | 2θ/deg | I_rel |
| --- | --- | --- |
| 2.123 | 42.59 | 100 |
| 2.486 | 36.13 | 52 |
| 2.715 | 33.00 | 52 |
| 2.494 | 36.01 | 40 |
| 2.145 | 42.13 | 36 |
| 1.436 | 64.93 | 23 |
| 1.354 | 69.41 | 21 |
| 4.241 | 20.95 | 21 |

```
Er2ThCo9
1.0
2.4860 1.4353 8.1587
-2.4860 1.4353 8.1587
0.0000 -2.8706 8.1587
Er Th Co
2 1 9
Cartesian
0.0000 0.0000 3.4430 Er
0.0000 0.0000 21.0330 Er
0.0000 0.0000 0.0000 Th
-1.2562 -0.7253 10.1833 Co
0.0000 0.0000 8.1955 Co
0.0000 -1.4505 14.2927 Co
-1.2562 0.7253 14.2927 Co
0.0000 0.0000 12.2380 Co
1.2562 -0.7253 10.1833 Co
0.0000 1.4505 10.1833 Co
0.0000 0.0000 16.2805 Co
1.2562 0.7253 14.2927 Co
```

[2]
ErTh2Co9: computed X-ray diffraction stick pattern (Cu Kα), based on a DFT-relaxed cell (PBE, Alexandria).

Most intense lines, 5 to 70 degrees two-theta, by intensity:
| d_spacing | 2θ/deg | I_rel |
| --- | --- | --- |
| 2.131 | 42.41 | 100 |
| 2.752 | 32.54 | 55 |
| 2.474 | 36.32 | 53 |
| 2.534 | 35.43 | 48 |
| 4.223 | 21.03 | 21 |
| 1.476 | 62.97 | 20 |
| 1.439 | 64.77 | 17 |
| 2.016 | 44.96 | 16 |

```
ErTh2Co9
1.0
2.4736 1.4281 8.3785
-2.4736 1.4281 8.3785
0.0000 -2.8563 8.3785
Er Th Co
1 2 9
Cartesian
0.0000 0.0000 0.0000 Er
0.0000 0.0000 3.4365 Th
0.0000 0.0000 21.6990 Th
-1.2287 -0.7094 10.3530 Co
0.0000 0.0000 8.3643 Co
0.0000 -1.4188 14.7825 Co
-1.2287 0.7094 14.7825 Co
0.0000 0.0000 12.5678 Co
1.2287 -0.7094 10.3530 Co
0.0000 1.4188 10.3530 Co
0.0000 0.0000 16.7712 Co
1.2287 0.7094 14.7825 Co
```